Computed powder diffraction line list
Compound: PrSm3N4
Radiation: Cu Kα (λ = 1.5418 Å)
Structure: DFT lattice parameters and positions (GGA-PBE)

Main lines, most intense first (10° ≤ 2θ ≤ 80°):
2θ (°), I/Imax, hkl
30.29, 100, 2 2 0
35.11, 74, 2 0 1
50.50, 51, 4 0 0
60.03, 46, 4 2 1
63.00, 17, 4 4 0
74.21, 8, 4 0 2

Structural model:
```
data_PrSm3N4
_chemical_formula_sum 'Pr2 Sm6 N8'
_symmetry_space_group_name_H-M 'C m m m'
_symmetry_Int_Tables_number 65
_symmetry_space_group_name_Hall '-C 2 2'
_cell_length_a 7.231
_cell_length_b 10.217
_cell_length_c 3.615
_cell_angle_alpha 90.00
_cell_angle_beta 90.00
_cell_angle_gamma 90.00
loop_
_atom_site_label
_atom_site_fract_x
_atom_site_fract_y
_atom_site_fract_z
_atom_site_occupancy
Pr1 0.000 0.000 0.000 1
Sm1 0.000 0.500 0.000 1
Sm2 0.250 0.250 0.500 1
N1 0.000 0.252 0.000 1
N2 0.246 0.500 0.500 1
```